Ce2PdRh3: theoretical powder diffraction line list (a wavelength of 1.5418 Å), based on a structure optimized by DFT (PBE).
No peak broadening, texture or thermal motion is included.

Atomic structure:
```
24
Lattice="0.0000 5.5302 8.0863 5.4291 0.0000 8.0863 5.4291 5.5302 0.0000" Properties=species:S:1:pos:R:3 pbc="T T T"
Ce 5.5622 5.3104 3.5686
Ce 8.2768 5.7501 7.6117
Ce 2.5815 2.9849 3.5686
Ce 5.5622 2.9849 8.5608
Ce 5.2961 8.0755 7.6117
Ce 8.2768 8.0755 12.6040
Ce 2.5815 5.3104 8.5608
Ce 5.2961 5.7501 12.6040
Pd 4.0719 2.6790 6.0647
Pd 6.7864 5.4441 10.1078
Pd 4.0719 5.6164 6.0647
Pd 6.7864 8.3815 10.1078
Rh 0.0000 0.0000 0.0000
Rh 2.7146 2.7651 0.0000
Rh 2.7146 0.0000 4.0431
Rh 4.0719 4.1477 1.8972
Rh 6.5165 4.1477 6.0647
Rh 6.7864 6.9128 5.9403
Rh 9.2311 6.9128 10.1078
Rh 0.0000 2.7651 4.0431
Rh 1.6272 4.1477 6.0647
Rh 4.0719 4.1477 10.2322
Rh 4.3418 6.9128 10.1078
Rh 6.7864 6.9128 14.2754
```

Main lines, sorted by position (2θ from 10° to 80°):
Position (°2θ)	d_spacing	intensity
25.5	3.494	37
29.9	2.985	50
35.2	2.550	29
37.9	2.373	45
38.2	2.357	79
39.5	2.282	44
40.0	2.254	100
44.8	2.021	20
46.9	1.937	32
50.2	1.819	21